Diffraction record for Pa2VTc. The powder diffractogram is computed, not measured: it uses a structure optimized by DFT (PBE) and Cu Kα (weighted mean of Kα1 and Kα2).

Structural model:
Unit cell a=4.9236 b=4.9236 c=3.3577 alpha=90.00 beta=90.00 gamma=90.00
Space group P4/mmm (No. 123)
One atom of each set of equivalent atoms:
Pa  0.0000  0.5000  0.0000 [2 per cell]
V  0.0000  0.0000  0.5000 [1 per cell]
Tc  0.5000  0.5000  0.5000 [1 per cell]

Top 12 peaks for 2θ from 10° to 80°, by angle:
- d 3.482, 2θ 25.59, I = 32
- d 3.358, 2θ 26.55, I = 14
- d 2.462, 2θ 36.50, I = 53
- d 2.417, 2θ 37.20, I = 100
- d 1.985, 2θ 45.70, I = 15
- d 1.741, 2θ 52.57, I = 19
- d 1.679, 2θ 54.67, I = 8
- d 1.557, 2θ 59.36, I = 7
- d 1.545, 2θ 59.85, I = 7
- d 1.413, 2θ 66.16, I = 38
- d 1.387, 2θ 67.53, I = 18
- d 1.208, 2θ 79.28, I = 11


Diffraction record for Pa2Zn15Tc2. The powder diffractogram is computed, not measured: it uses a structure optimized by DFT (PBE) and Cu Kα (weighted mean of Kα1 and Kα2).

Structural model:
Unit cell a=9.2707 b=9.2707 c=12.4346 alpha=90.00 beta=90.00 gamma=120.00
Space group R-3m (No. 166, hexagonal axes)
One atom of each set of equivalent atoms:
Pa  0.0000  0.0000  0.1773 [6 per cell]
Zn  0.0000  0.2777  0.5000 [18 per cell]
Zn  0.0000  0.5000  0.0000 [9 per cell]
Zn  0.0159  0.5079  0.6460 [18 per cell]
Tc  0.0000  0.0000  0.3665 [6 per cell]

Top 12 peaks for 2θ from 10° to 80°, by angle:
- d 4.635, 2θ 19.15, I = 30
- d 3.090, 2θ 28.90, I = 30
- d 2.727, 2θ 32.84, I = 56
- d 2.676, 2θ 33.48, I = 62
- d 2.458, 2θ 36.56, I = 33
- d 2.318, 2θ 38.86, I = 100
- d 2.248, 2θ 40.11, I = 87
- d 2.114, 2θ 42.77, I = 42
- d 2.072, 2θ 43.68, I = 38
- d 1.545, 2θ 59.87, I = 37
- d 1.338, 2θ 70.36, I = 26
- d 1.228, 2θ 77.78, I = 24


Diffraction record for PaTe5. The powder diffractogram is computed, not measured: it uses a structure optimized by DFT (PBE) and Cu Kα (weighted mean of Kα1 and Kα2).

Structural model:
Unit cell a=4.3030 b=14.3243 c=8.0252 alpha=90.00 beta=105.04 gamma=90.00
Space group P2_1/m (No. 11)
One atom of each set of equivalent atoms:
Pa  0.1631  0.2500  0.3948 [2 per cell]
Te  0.2080  0.7500  0.3253 [2 per cell]
Te  0.2678  0.0625  0.5823 [4 per cell]
Te  0.4483  0.6517  0.8346 [4 per cell]

Top 12 peaks for 2θ from 10° to 80°, by angle:
- d 7.750, 2θ 11.42, I = 100
- d 7.162, 2θ 12.36, I = 51
- d 6.817, 2θ 12.99, I = 34
- d 3.251, 2θ 27.44, I = 28
- d 3.235, 2θ 27.57, I = 27
- d 3.208, 2θ 27.81, I = 52
- d 3.011, 2θ 29.67, I = 72
- d 2.991, 2θ 29.87, I = 33
- d 2.711, 2θ 33.05, I = 28
- d 2.383, 2θ 37.75, I = 34
- d 2.362, 2θ 38.10, I = 41
- d 2.355, 2θ 38.21, I = 28